The following is a computed PXRD pattern of LiSnPHO5. It was derived from the PBE geometry in the Materials Project, using Cu Kα.
Peak positions follow from Bragg's law for the DFT cell and can differ from measured ones.

Atomic structure:
```
LiSnPHO5
1.0
5.173 0.000 0.000
-0.638 5.893 0.000
-2.066 -3.035 7.204
Li Sn P H O
2 2 2 2 10
Cartesian
-0.557 1.521 2.335
3.026 1.337 4.869
-1.033 -1.518 3.602
2.267 2.947 0.000
1.558 -0.057 2.015
0.911 2.915 5.189
-0.517 3.800 1.439
2.986 -0.942 5.765
-1.415 -0.450 5.326
-0.551 2.783 4.581
0.567 -0.240 3.244
0.823 4.643 1.060
1.135 1.276 1.379
1.334 1.582 5.825
1.646 -1.785 6.144
1.902 3.098 3.960
3.020 0.075 2.623
3.884 3.308 1.878
```

Principal peaks in the range 2θ from 15° to 90°, sorted by position:
index, Position (°2θ), d (Å), I (rel.)
0 1 -1, 16.18, 5.478, 94
1 0 -1, 18.48, 4.802, 60
1 -1 0, 21.69, 4.098, 56
0 1 1, 24.05, 3.701, 100
1 0 1, 25.04, 3.557, 81
1 1 -2, 27.32, 3.265, 83
1 -1 2, 32.63, 2.744, 51
-1 1 2, 33.61, 2.667, 29
1 -2 1, 33.82, 2.650, 39
1 2 -1, 37.31, 2.410, 34
2 1 -1, 40.12, 2.247, 28
3 0 -3, 57.58, 1.601, 26